Entry 1:
Structure and theoretical PXRD pattern of TbCePr2Tm (a cell relaxed with PBE; Cu Ka).
No peak broadening, texture or thermal motion is included.

The 10 most intense peaks (2θ = 10–80°), most intense first:
2θ 32.11, I 100, (1 2 -1)
2θ 29.44, I 55, (1 1 2)
2θ 34.03, I 39, (2 -1 1)
2θ 29.27, I 27, (2 0 0)
2θ 53.72, I 22, (3 -2 1)
2θ 35.57, I 19, (0 1 -3)
2θ 26.27, I 19, (1 0 2)
2θ 54.05, I 19, (0 4 0)
2θ 36.79, I 19, (2 0 2)
2θ 28.48, I 18, (0 2 1)

Crystal structure
Cell lengths 6.1031, 6.7893, 8.1563 Å; angles 90.05, 90.00, 90.05 degrees
Space group P-1 (No. 2)
Inequivalent atoms, fractional coordinates:
Tb (0.2500, 0.0000, 0.1442) [2 per cell]
Ce (0.0000, 0.0000, 0.5000) [1 per cell]
Ce (0.5000, 0.0000, 0.5000) [1 per cell]
Pr (0.2504, 0.2670, 0.8101) [2 per cell]
Pr (0.2496, 0.7333, 0.8097) [2 per cell]
Tm (0.2500, 0.4999, 0.3781) [2 per cell]

=====

Entry 2:
Structure and theoretical PXRD pattern of Li2MgSb (a cell relaxed with PBE; Cu Ka).
No peak broadening, texture or thermal motion is included.

The 10 most intense peaks (2θ = 10–80°), most intense first:
2θ 22.95, I 100, (1 0 1)
2θ 36.09, I 55, (1 1 2)
2θ 47.80, I 28, (2 1 1)
2θ 38.18, I 27, (1 0 3)
2θ 21.15, I 20, (0 0 2)
2θ 41.34, I 19, (2 0 0)
2θ 28.91, I 18, (1 1 0)
2θ 57.52, I 16, (2 1 3)
2θ 71.96, I 14, (3 1 2)
2θ 74.44, I 14, (1 1 6)

Crystal structure
Cell lengths 4.3683, 4.3683, 8.4006 Å; angles 90.00, 90.00, 90.00 degrees
Space group I-4m2 (No. 119)
Inequivalent atoms, fractional coordinates:
Li (0.0000, 0.0000, 0.0000) [2 per cell]
Li (0.0000, 0.5000, 0.2500) [2 per cell]
Mg (0.0000, 0.0000, 0.5000) [2 per cell]
Sb (0.0000, 0.5000, 0.7500) [2 per cell]

=====

Entry 3:
Structure and theoretical PXRD pattern of Ho4Al5Ga6 (a cell relaxed with PBE; Cu Ka).
No peak broadening, texture or thermal motion is included.

The 10 most intense peaks (2θ = 10–80°), most intense first:
2θ 36.29, I 100, (1 5 3)
2θ 31.64, I 79, (1 5 0)
2θ 42.04, I 41, (2 0 0)
2θ 32.15, I 30, (1 5 1)
2θ 21.20, I 29, (1 1 0)
2θ 30.71, I 29, (0 2 5)
2θ 11.56, I 27, (0 0 2)
2θ 39.57, I 22, (1 7 0)
2θ 51.79, I 21, (0 10 3)
2θ 30.11, I 20, (0 4 4)

Crystal structure
Cell lengths 4.2989, 18.8185, 15.3046 Å; angles 90.00, 90.00, 90.00 degrees
Space group Cmc2_1 (No. 36)
Inequivalent atoms, fractional coordinates:
Ho (0.0000, 0.0211, 0.0000) [4 per cell]
Ho (0.0000, 0.0343, 0.2699) [4 per cell]
Ho (0.0000, 0.1642, 0.8062) [4 per cell]
Ho (0.0000, 0.1763, 0.4456) [4 per cell]
Al (0.0000, 0.1514, 0.1306) [4 per cell]
Al (0.0000, 0.3035, 0.1233) [4 per cell]
Al (0.0000, 0.3414, 0.7803) [4 per cell]
Al (0.0000, 0.3496, 0.4818) [4 per cell]
Al (0.0000, 0.4363, 0.1917) [4 per cell]
Ga (0.0000, 0.1091, 0.6159) [4 per cell]
Ga (0.0000, 0.2239, 0.9857) [4 per cell]
Ga (0.0000, 0.2328, 0.2677) [4 per cell]
Ga (0.0000, 0.4291, 0.9138) [4 per cell]
Ga (0.0000, 0.4311, 0.6337) [4 per cell]
Ga (0.0000, 0.4426, 0.3602) [4 per cell]

=====

Entry 4:
Structure and theoretical PXRD pattern of Ta5Ti2Re (a cell relaxed with PBE; Cu Ka).
No peak broadening, texture or thermal motion is included.

The 10 most intense peaks (2θ = 10–80°), most intense first:
2θ 38.77, I 100, (2 4 0)
2θ 38.97, I 100, (2 0 1)
2θ 39.34, I 97, (0 4 1)
2θ 70.06, I 34, (4 4 1)
2θ 71.22, I 34, (2 4 2)
2θ 70.82, I 33, (2 8 1)
2θ 19.10, I 29, (1 2 0)
2θ 55.41, I 17, (4 0 0)
2θ 57.16, I 17, (0 0 2)
2θ 56.56, I 16, (0 8 0)

Crystal structure
Cell lengths 6.6323, 13.0175, 3.2231 Å; angles 90.00, 90.00, 90.00 degrees
Space group Pbam (No. 55)
Inequivalent atoms, fractional coordinates:
Ta (0.0000, 0.0000, 0.0000) [2 per cell]
Ta (0.0069, 0.2438, 0.0000) [4 per cell]
Ta (0.2429, 0.3781, 0.5000) [4 per cell]
Ti (0.2287, 0.6184, 0.5000) [4 per cell]
Re (0.0000, 0.5000, 0.0000) [2 per cell]

=====

Entry 5:
Structure and theoretical PXRD pattern of Hg2SbI3 (a cell relaxed with PBE; Cu Ka).
No peak broadening, texture or thermal motion is included.

The 10 most intense peaks (2θ = 10–80°), most intense first:
2θ 32.95, I 100, (1 3 1)
2θ 25.31, I 68, (1 1 -3)
2θ 26.38, I 64, (3 1 -1)
2θ 16.67, I 56, (0 0 2)
2θ 21.31, I 47, (0 2 1)
2θ 28.15, I 31, (3 1 0)
2θ 39.33, I 28, (3 3 -2)
2θ 38.88, I 24, (4 0 -4)
2θ 25.83, I 23, (0 2 2)
2θ 33.64, I 21, (1 3 -2)

Crystal structure
Cell lengths 10.9376, 9.0655, 11.4591 Å; angles 90.00, 111.84, 90.00 degrees
Space group P2_1/c (No. 14)
Inequivalent atoms, fractional coordinates:
Hg (0.0184, 0.1620, 0.0584) [4 per cell]
Hg (0.4549, 0.1790, 0.4644) [4 per cell]
Sb (0.2813, 0.7379, 0.4967) [4 per cell]
I (0.1914, 0.0710, 0.4119) [4 per cell]
I (0.2351, 0.6149, 0.2542) [4 per cell]
I (0.3597, 0.0417, 0.1274) [4 per cell]

=====

Entry 6:
Structure and theoretical PXRD pattern of PuNpCoCu (a cell relaxed with PBE; Cu Ka).
No peak broadening, texture or thermal motion is included.

The 7 most intense peaks (2θ = 10–80°), most intense first:
2θ 40.88, I 100, (2 2 0)
2θ 24.69, I 38, (1 1 1)
2θ 74.43, I 34, (4 2 2)
2θ 48.34, I 20, (3 1 1)
2θ 59.19, I 17, (4 0 0)
2θ 65.12, I 9, (3 3 1)
2θ 79.81, I 7, (5 1 1)

Crystal structure
Cell lengths 6.2443, 6.2443, 6.2443 Å; angles 90.00, 90.00, 90.00 degrees
Space group F-43m (No. 216)
Inequivalent atoms, fractional coordinates:
Pu (0.0000, 0.0000, 0.0000) [4 per cell]
Np (0.2500, 0.2500, 0.7500) [4 per cell]
Co (0.0000, 0.0000, 0.5000) [4 per cell]
Cu (0.2500, 0.2500, 0.2500) [4 per cell]

=====

Entry 7:
Structure and theoretical PXRD pattern of LaPm2Er5 (a cell relaxed with PBE; Cu Ka).
No peak broadening, texture or thermal motion is included.

The 6 most intense peaks (2θ = 10–80°), most intense first:
2θ 30.63, I 100, (2 0 1)
2θ 35.52, I 51, (0 0 2)
2θ 60.77, I 43, (2 0 3)
2θ 51.10, I 36, (2 4 2)
2θ 63.78, I 12, (4 0 2)
2θ 75.18, I 6, (0 0 4)

Crystal structure
Cell lengths 7.1419, 14.3064, 5.0577 Å; angles 90.00, 90.00, 90.00 degrees
Space group Pbam (No. 55)
Inequivalent atoms, fractional coordinates:
La (0.0000, 0.0000, 0.0000) [2 per cell]
Pm (0.2459, 0.3734, 0.5000) [4 per cell]
Er (0.0000, 0.5000, 0.0000) [2 per cell]
Er (0.0040, 0.7478, 0.0000) [4 per cell]
Er (0.2478, 0.1262, 0.5000) [4 per cell]

=====

Entry 8:
Structure and theoretical PXRD pattern of NdEr3Tm2 (a cell relaxed with PBE; Cu Ka).
No peak broadening, texture or thermal motion is included.

The 10 most intense peaks (2θ = 10–80°), most intense first:
2θ 32.29, I 100, (0 2 -1)
2θ 33.98, I 62, (0 2 2)
2θ 31.53, I 51, (0 0 3)
2θ 29.22, I 36, (2 2 1)
2θ 34.06, I 30, (2 2 -1)
2θ 51.38, I 26, (2 4 1)
2θ 61.52, I 23, (2 4 4)
2θ 61.63, I 23, (4 2 4)
2θ 55.49, I 20, (0 2 -4)
2θ 29.86, I 18, (2 2 0)

Crystal structure
Cell lengths 7.0992, 7.1077, 8.7577 Å; angles 78.25, 78.27, 60.14 degrees
Space group P-1 (No. 2)
Inequivalent atoms, fractional coordinates:
Nd (0.2498, 0.2502, 0.0006) [2 per cell]
Er (0.1389, 0.1390, 0.6642) [2 per cell]
Er (0.2503, 0.7498, 0.9997) [2 per cell]
Er (0.3605, 0.8603, 0.3367) [2 per cell]
Tm (0.1399, 0.6391, 0.6634) [2 per cell]
Tm (0.3610, 0.3615, 0.3357) [2 per cell]